Structure and computed powder diffractogram of V3Cu2P6WO24 (a crystal structure in the Materials Project, relaxed with GGA+U; a wavelength of 1.5418 Å).
Peak positions follow from Bragg's law for the DFT cell and can differ from measured ones.

Peak list (8 most intense, 5° ≤ 2θ ≤ 70°, by angle)
12.47 deg, I 30; 20.44 deg, I 100; 24.01 deg, I 71; 32.56 deg, I 64; 35.79 deg, I 41; 46.71 deg, I 27; 49.16 deg, I 22; 56.01 deg, I 23

Atomic structure:
```
V3Cu2P6WO24
1.0
4.344 2.508 7.109
-4.344 2.508 7.109
0.000 -5.016 7.109
V Cu P W O
3 2 6 1 24
Cartesian
0.000 0.000 0.000
0.000 0.000 4.586
0.000 0.000 10.652
0.000 0.000 7.616
0.000 0.000 18.363
-1.211 -2.838 9.399
-2.545 0.001 12.917
-1.853 2.468 9.399
1.272 -2.204 12.917
3.063 0.371 9.399
1.273 2.203 12.917
0.000 0.000 15.250
-0.778 -3.547 8.118
-1.533 -0.180 5.882
-3.428 -1.268 12.919
-0.886 -3.606 10.673
-2.682 2.447 8.118
-0.620 -1.408 9.367
0.922 -1.238 5.882
-1.655 -0.059 11.684
-2.680 2.570 10.673
-0.909 1.241 9.367
0.611 1.417 5.882
-1.678 0.053 14.224
0.879 -1.403 11.684
-0.921 -1.262 16.521
1.529 0.167 9.367
0.793 -1.480 14.224
0.776 1.462 11.684
2.812 -2.334 12.919
-0.632 1.429 16.521
3.461 1.099 8.118
0.885 1.426 14.224
0.615 3.603 12.919
1.553 -0.167 16.521
3.566 1.036 10.673
```



Structure and computed powder diffractogram of PrCuW2O8 (a crystal structure in the Materials Project, relaxed with GGA+U; a wavelength of 1.5418 Å).
Peak positions follow from Bragg's law for the DFT cell and can differ from measured ones.

Peak list (8 most intense, 5° ≤ 2θ ≤ 70°, by angle)
14.49 deg, I 54; 21.58 deg, I 45; 23.97 deg, I 37; 25.96 deg, I 33; 27.22 deg, I 37; 28.08 deg, I 100; 29.12 deg, I 60; 29.30 deg, I 68

Atomic structure:
```
PrCuW2O8
1.0
7.270 0.000 0.000
-0.151 7.464 0.000
-3.330 -3.163 6.091
Pr Cu W O
2 2 4 16
Cartesian
-0.240 0.684 2.799
4.030 3.617 3.293
1.675 5.069 0.044
2.115 -0.768 6.048
1.760 2.111 0.176
0.061 4.431 4.341
3.729 -0.131 1.750
2.030 2.190 5.915
-0.042 1.992 0.536
-1.796 4.861 4.883
-0.659 3.012 3.408
-1.383 0.142 4.879
0.255 5.749 3.145
1.916 0.482 1.562
2.352 3.198 1.548
3.344 6.135 0.061
0.446 -1.834 6.031
1.438 1.103 4.544
1.874 3.818 4.530
3.535 -1.448 2.946
5.173 4.159 1.213
4.449 1.289 2.684
5.585 -0.560 1.208
3.832 2.308 5.555
```



Structure and computed powder diffractogram of VCuSe2O7 (a crystal structure in the Materials Project, relaxed with GGA+U; a wavelength of 1.5418 Å).
Peak positions follow from Bragg's law for the DFT cell and can differ from measured ones.

Peak list (8 most intense, 5° ≤ 2θ ≤ 70°, by angle)
10.84 deg, I 70; 21.79 deg, I 28; 23.96 deg, I 46; 25.22 deg, I 31; 28.87 deg, I 60; 29.26 deg, I 100; 34.16 deg, I 37; 34.47 deg, I 44

Atomic structure:
```
VCuSe2O7
1.0
8.287 0.000 0.000
0.000 8.990 0.000
-1.517 0.000 8.523
V Cu Se O
4 4 8 28
Cartesian
0.927 0.066 3.803
0.169 4.429 8.064
6.601 4.561 0.458
5.842 8.924 4.720
0.337 5.565 4.147
-0.422 7.920 8.409
7.191 1.070 0.114
6.433 3.425 4.375
0.231 1.525 6.666
0.990 2.970 2.405
2.671 6.579 2.110
1.912 6.906 6.371
4.857 2.084 2.151
4.098 2.411 6.413
5.779 6.020 6.118
6.538 7.465 1.856
-0.473 0.838 5.208
0.286 3.657 0.946
-0.755 0.823 7.946
0.004 3.672 3.685
0.308 1.400 2.354
-0.450 3.095 6.615
1.733 6.171 0.646
0.974 7.314 4.908
1.075 5.408 6.567
1.834 8.077 2.306
2.075 5.455 3.252
1.316 8.030 7.514
2.146 0.969 4.457
2.904 3.526 0.195
3.865 5.463 8.327
4.624 8.021 4.066
5.453 0.960 1.009
4.695 3.535 5.270
4.936 0.913 6.217
5.694 3.582 1.955
5.795 1.676 3.615
5.037 2.819 7.876
7.220 5.895 1.907
6.461 7.590 6.168
6.766 5.318 4.838
7.524 8.167 0.576
6.483 5.333 7.576
7.242 8.152 3.315
```